This entry pairs a crystal structure of SrLa2TaGa with its theoretical powder diffractogram. Radiation: Cu Kα X-rays. Structure: a cell relaxed with GGA-PBE.
Neutral-atom scattering factors, no anomalous dispersion.

Cell and atoms:
Cell lengths 5.6018, 5.6018, 5.2661 Å; angles 90.00, 90.00, 90.00 degrees
Element x y z (fractional)
Sr1 0.0000 0.0000 0.0000
La1 0.0000 0.5000 0.0000
La2 0.5000 0.0000 0.0000
Ta1 0.5000 0.5000 0.5000
Ga1 0.0000 0.0000 0.5000

Top 6 peaks for 2θ from 5° to 70°, in order of falling intensity:
d = 3.166 Å, rel. 100, hkl 1 1 1
d = 2.801 Å, rel. 71, hkl 2 0 0
d = 1.918 Å, rel. 48, hkl 2 0 2
d = 1.679 Å, rel. 32, hkl 3 1 1
d = 3.837 Å, rel. 32, hkl 1 0 1
d = 2.633 Å, rel. 30, hkl 0 0 2